Theoretical powder diffractogram of CoH8Br6N2 for Cu Kα (weighted mean of Kα1 and Kα2), from a cell relaxed with PBE.
Neutral-atom scattering factors, no anomalous dispersion.

Structure:
```
CoH8Br6N2
1.0
0.000 5.068 5.068
5.068 0.000 5.068
5.068 5.068 0.000
Co H Br N
1 8 6 2
Cartesian
0.000 0.000 0.000
3.132 1.937 1.937
1.937 3.132 1.937
1.937 1.937 3.132
3.132 3.132 3.132
7.005 7.005 7.005
8.200 8.200 7.005
8.200 7.005 8.200
7.005 8.200 8.200
5.068 5.068 2.408
5.068 2.408 5.068
7.729 5.068 5.068
2.408 5.068 5.068
5.068 7.729 5.068
5.068 5.068 7.729
2.534 2.534 2.534
7.603 7.603 7.603
```

Top 12 peaks for 2θ from 5° to 70°, in order of rising 2θ:
d 5.852, I = 27; d 5.068, I = 49; d 2.926, I = 100; d 2.534, I = 79; d 2.267, I = 26; d 1.951, I = 10; d 1.792, I = 52; d 1.689, I = 13; d 1.528, I = 36; d 1.463, I = 17; d 1.419, I = 6; d 1.406, I = 7